(1)
The following is a simulated powder X-ray diffraction pattern of Dy5Mg2. It was derived from a PBE-relaxed structure, using Cu Kα (weighted mean of Kα1 and Kα2).
No peak broadening, texture or thermal motion is included.

Largest 8 diffraction maxima, in order of rising 2θ, 2θ = 10–90°:
d 3.099, 28.81 deg, rel. 25, (1 0 5); d 2.823, 31.70 deg, rel. 100, (1 0 7); d 2.471, 36.35 deg, rel. 37, (1 1 0); d 2.394, 37.57 deg, rel. 13, (0 0 14); d 1.851, 49.23 deg, rel. 12, (1 1 12); d 1.748, 52.35 deg, rel. 13, (2 0 0); d 1.719, 53.28 deg, rel. 19, (1 1 14); d 1.486, 62.51 deg, rel. 29, (2 1 7)

Structural model:
a b c (Å): 3.495 3.495 33.512
angles (deg): 90.00 90.00 90.00
Space group I4/mmm (No. 139)
Unique sites:
Dy1 0.000 0.000 0.000
Dy2 0.000 0.000 0.151
Dy3 0.000 0.000 0.424
Mg1 0.000 0.000 0.279

(2)
The following is a simulated powder X-ray diffraction pattern of PH6PbCCl3. It was derived from a PBE-relaxed structure, using Cu Kα (weighted mean of Kα1 and Kα2).
No peak broadening, texture or thermal motion is included.

Largest 8 diffraction maxima, in order of rising 2θ, 2θ = 10–90°:
d 5.920, 14.96 deg, rel. 55, (0 1 -1); d 5.857, 15.13 deg, rel. 100, (0 1 1); d 4.167, 21.32 deg, rel. 74, (1 1 -1); d 4.145, 21.44 deg, rel. 78, (1 1 1); d 2.919, 30.63 deg, rel. 33, (2 0 0); d 2.642, 33.93 deg, rel. 42, (0 1 -3); d 2.630, 34.09 deg, rel. 31, (0 3 1); d 2.618, 34.25 deg, rel. 35, (1 2 2)

Structural model:
a b c (Å): 5.837 8.335 8.346
angles (deg): 90.43 90.21 90.06
Space group P1 (No. 1)
Unique sites:
P1 0.000 0.000 0.000
P2 0.001 0.604 0.412
H1 0.000 0.276 0.076
H2 0.002 0.758 0.346
H3 0.153 0.241 0.892
H4 0.153 0.688 0.663
H5 0.196 0.955 0.089
H6 0.197 0.520 0.359
H7 0.805 0.519 0.356
H8 0.805 0.954 0.089
H9 0.844 0.688 0.661
H10 0.845 0.240 0.893
H11 0.999 0.502 0.679
H12 0.999 0.914 0.855
Pb1 0.495 0.102 0.506
Pb2 0.499 0.593 0.000
C1 0.999 0.210 0.962
C2 0.999 0.622 0.625
Cl1 0.000 0.616 0.032
Cl2 0.010 0.093 0.477
Cl3 0.498 0.367 0.723
Cl4 0.499 0.885 0.768
Cl5 0.501 0.349 0.228
Cl6 0.502 0.827 0.259

(3)
The following is a simulated powder X-ray diffraction pattern of CsHg3Sb3. It was derived from a PBE-relaxed structure, using Cu Kα (weighted mean of Kα1 and Kα2).
No peak broadening, texture or thermal motion is included.

Largest 8 diffraction maxima, in order of rising 2θ, 2θ = 10–90°:
d 5.723, 15.48 deg, rel. 32, (1 1 0); d 4.047, 21.97 deg, rel. 41, (2 0 0); d 3.304, 26.99 deg, rel. 100, (2 1 1); d 2.336, 38.53 deg, rel. 45, (2 2 2); d 2.163, 41.76 deg, rel. 62, (3 2 1); d 2.023, 44.79 deg, rel. 38, (4 0 0); d 1.431, 65.21 deg, rel. 25, (4 4 0); d 1.313, 71.92 deg, rel. 19, (6 1 1)

Structural model:
a b c (Å): 8.093 8.093 8.093
angles (deg): 90.00 90.00 90.00
Space group Pm-3n (No. 223)
Unique sites:
Cs1 0.000 0.000 0.000
Hg1 0.000 0.250 0.500
Sb1 0.000 0.500 0.250

(4)
The following is a simulated powder X-ray diffraction pattern of Tb2CdTe. It was derived from a PBE-relaxed structure, using Cu Kα (weighted mean of Kα1 and Kα2).
No peak broadening, texture or thermal motion is included.

Largest 8 diffraction maxima, in order of rising 2θ, 2θ = 10–90°:
d 3.076, 29.02 deg, rel. 100, (1 0 4); d 2.282, 39.48 deg, rel. 43, (0 1 8); d 2.082, 43.46 deg, rel. 33, (1 1 0); d 1.724, 53.11 deg, rel. 18, (0 2 4); d 1.538, 60.16 deg, rel. 12, (2 0 8); d 1.429, 65.29 deg, rel. 19, (1 1 12); d 1.328, 70.97 deg, rel. 15, (2 1 4); d 1.237, 77.09 deg, rel. 12, (1 2 8)

Structural model:
a b c (Å): 4.1644 4.1644 23.5812
angles (deg): 90.00 90.00 120.00
Space group R-3m (No. 166, hexagonal axes)
Unique sites:
Tb1 0.0000 0.0000 0.2480
Cd1 0.0000 0.0000 0.0000
Te1 0.0000 0.0000 0.5000

(5)
The following is a simulated powder X-ray diffraction pattern of TbTm2Ge2Pt7. It was derived from a PBE-relaxed structure, using Cu Kα (weighted mean of Kα1 and Kα2).
No peak broadening, texture or thermal motion is included.

Largest 8 diffraction maxima, in order of rising 2θ, 2θ = 10–90°:
d 2.783, 32.16 deg, rel. 29, (0 2 1); d 2.629, 34.11 deg, rel. 29, (0 2 2); d 2.621, 34.21 deg, rel. 36, (2 0 -3); d 2.474, 36.31 deg, rel. 90, (2 0 2); d 2.420, 37.15 deg, rel. 100, (0 2 3); d 2.403, 37.43 deg, rel. 23, (2 0 -4); d 2.115, 42.74 deg, rel. 21, (1 1 -6); d 2.019, 44.89 deg, rel. 89, (2 2 -1)

Structural model:
a b c (Å): 5.742 5.683 14.062
angles (deg): 90.00 99.92 90.00
Space group C2/m (No. 12)
Unique sites:
Tb1 0.000 0.000 0.000
Tm1 0.135 0.000 0.359
Ge1 0.111 0.500 0.262
Pt1 0.000 0.500 0.000
Pt2 0.148 0.500 0.435
Pt3 0.182 0.250 0.842

(6)
The following is a simulated powder X-ray diffraction pattern of SrCd4S5. It was derived from a PBE-relaxed structure, using Cu Kα (weighted mean of Kα1 and Kα2).
No peak broadening, texture or thermal motion is included.

Largest 8 diffraction maxima, in order of rising 2θ, 2θ = 10–90°:
d 3.247, 27.47 deg, rel. 42, (0 1 5); d 3.207, 27.82 deg, rel. 13, (0 0 15); d 2.803, 31.93 deg, rel. 100, (1 0 10); d 1.991, 45.55 deg, rel. 36, (1 1 0); d 1.973, 46.00 deg, rel. 33, (0 1 20); d 1.692, 54.22 deg, rel. 13, (1 1 15); d 1.623, 56.70 deg, rel. 18, (0 2 10); d 1.258, 75.56 deg, rel. 15, (2 1 10)

Structural model:
a b c (Å): 3.9829 3.9829 48.1002
angles (deg): 90.00 90.00 120.00
Space group R-3m (No. 166, hexagonal axes)
Unique sites:
Sr1 0.0000 0.0000 0.0000
Cd1 0.0000 0.0000 0.1990
Cd2 0.0000 0.0000 0.4030
S1 0.0000 0.0000 0.1020
S2 0.0000 0.0000 0.2952
S3 0.0000 0.0000 0.5000

(7)
The following is a simulated powder X-ray diffraction pattern of Tb5Ho6Mg2. It was derived from a PBE-relaxed structure, using Cu Kα (weighted mean of Kα1 and Kα2).
No peak broadening, texture or thermal motion is included.

Largest 8 diffraction maxima, in order of rising 2θ, 2θ = 10–90°:
d 3.204, 27.85 deg, rel. 44, (1 2 1); d 3.121, 28.60 deg, rel. 100, (3 3 0); d 2.988, 29.90 deg, rel. 86, (0 4 1); d 2.795, 32.02 deg, rel. 93, (0 8 0); d 2.725, 32.87 deg, rel. 83, (3 5 0); d 2.715, 32.99 deg, rel. 98, (2 3 1); d 2.449, 36.69 deg, rel. 45, (3 1 1); d 2.442, 36.80 deg, rel. 44, (2 5 1)

Structural model:
a b c (Å): 10.310 22.359 3.535
angles (deg): 90.00 90.00 90.00
Space group Pbam (No. 55)
Unique sites:
Tb1 0.000 0.000 0.000
Tb2 0.078 0.252 0.000
Tb3 0.166 0.506 0.000
Ho1 0.019 0.387 0.500
Ho2 0.143 0.118 0.500
Ho3 0.169 0.866 0.000
Mg1 0.172 0.739 0.500

(8)
The following is a simulated powder X-ray diffraction pattern of Pm3MgCd4. It was derived from a PBE-relaxed structure, using Cu Kα (weighted mean of Kα1 and Kα2).
No peak broadening, texture or thermal motion is included.

Largest 8 diffraction maxima, in order of rising 2θ, 2θ = 10–90°:
d 2.682, 33.40 deg, rel. 100, (0 1 8); d 2.637, 33.99 deg, rel. 97, (1 1 0); d 1.881, 48.40 deg, rel. 35, (2 0 8); d 1.558, 59.33 deg, rel. 17, (1 0 16); d 1.531, 60.46 deg, rel. 35, (1 2 8); d 1.523, 60.84 deg, rel. 19, (3 0 0); d 1.196, 80.31 deg, rel. 14, (2 1 16); d 1.183, 81.30 deg, rel. 15, (3 1 8)

Structural model:
a b c (Å): 5.2750 5.2750 26.5109
angles (deg): 90.00 90.00 120.00
Space group R-3m (No. 166, hexagonal axes)
Unique sites:
Pm1 0.0000 0.0000 0.0000
Pm2 0.0000 0.0000 0.2449
Mg1 0.0000 0.0000 0.5000
Cd1 0.0000 0.0000 0.1255
Cd2 0.0000 0.0000 0.3759

(9)
The following is a simulated powder X-ray diffraction pattern of Dy7Mg. It was derived from a PBE-relaxed structure, using Cu Kα (weighted mean of Kα1 and Kα2).
No peak broadening, texture or thermal motion is included.

Largest 8 diffraction maxima, in order of rising 2θ, 2θ = 10–90°:
d 5.717, 15.50 deg, rel. 7, (1 1 1); d 2.859, 31.29 deg, rel. 100, (2 2 2); d 2.476, 36.29 deg, rel. 51, (4 0 0); d 1.751, 52.26 deg, rel. 36, (4 4 0); d 1.493, 62.18 deg, rel. 42, (6 2 2); d 1.429, 65.28 deg, rel. 12, (4 4 4); d 1.136, 85.48 deg, rel. 18, (6 6 2); d 1.107, 88.26 deg, rel. 17, (8 4 0)

Structural model:
a b c (Å): 9.903 9.903 9.903
angles (deg): 90.00 90.00 90.00
Space group Fm-3m (No. 225)
Unique sites:
Dy1 0.000 0.000 0.000
Dy2 0.000 0.250 0.250
Mg1 0.000 0.000 0.500

(10)
The following is a simulated powder X-ray diffraction pattern of La2PrSe3. It was derived from a PBE-relaxed structure, using Cu Kα (weighted mean of Kα1 and Kα2).
No peak broadening, texture or thermal motion is included.

Largest 8 diffraction maxima, in order of rising 2θ, 2θ = 10–90°:
d 3.509, 25.38 deg, rel. 14, (1 1 0); d 3.039, 29.39 deg, rel. 100, (1 0 3); d 2.149, 42.04 deg, rel. 63, (2 0 0); d 1.755, 52.13 deg, rel. 27, (2 2 0); d 1.360, 69.08 deg, rel. 17, (3 0 3); d 1.358, 69.15 deg, rel. 17, (1 4 3); d 1.242, 76.77 deg, rel. 13, (3 2 3); d 1.240, 76.90 deg, rel. 13, (1 2 9)

Structural model:
a b c (Å): 4.304 6.076 12.878
angles (deg): 90.00 90.00 90.00
Space group Immm (No. 71)
Unique sites:
La1 0.000 0.000 0.166
Pr1 0.000 0.000 0.500
Se1 0.000 0.500 0.166
Se2 0.000 0.500 0.500

(11)
The following is a simulated powder X-ray diffraction pattern of SrLiZnOs. It was derived from a PBE-relaxed structure, using Cu Kα (weighted mean of Kα1 and Kα2).
No peak broadening, texture or thermal motion is included.

Largest 8 diffraction maxima, in order of rising 2θ, 2θ = 10–90°:
d 5.212, 17.01 deg, rel. 80, (0 0 3); d 3.690, 24.12 deg, rel. 100, (1 0 1); d 3.416, 26.09 deg, rel. 38, (0 1 2); d 2.724, 32.88 deg, rel. 88, (1 0 4); d 2.414, 37.25 deg, rel. 49, (0 1 5); d 2.193, 41.17 deg, rel. 93, (1 1 0); d 2.021, 44.85 deg, rel. 41, (1 1 3); d 1.678, 54.71 deg, rel. 59, (1 1 6)

Structural model:
a b c (Å): 4.3851 4.3851 15.6368
angles (deg): 90.00 90.00 120.00
Space group R3m (No. 160, hexagonal axes)
Unique sites:
Sr1 0.0000 0.0000 0.0000
Li1 0.0000 0.0000 0.1940
Zn1 0.0000 0.0000 0.4828
Os1 0.0000 0.0000 0.8011

(12)
The following is a simulated powder X-ray diffraction pattern of ErCo5P3. It was derived from a PBE-relaxed structure, using Cu Kα (weighted mean of Kα1 and Kα2).
No peak broadening, texture or thermal motion is included.

Largest 8 diffraction maxima, in order of rising 2θ, 2θ = 10–90°:
d 3.134, 28.48 deg, rel. 34, (0 2 3); d 2.747, 32.60 deg, rel. 20, (0 4 1); d 2.595, 34.57 deg, rel. 37, (1 3 0); d 2.527, 35.53 deg, rel. 100, (1 1 3); d 2.358, 38.17 deg, rel. 46, (1 3 2); d 2.173, 41.56 deg, rel. 46, (1 1 4); d 1.786, 51.16 deg, rel. 45, (2 0 0); d 1.705, 53.76 deg, rel. 20, (1 5 3)

Structural model:
a b c (Å): 3.572 11.328 11.285
angles (deg): 90.00 90.00 90.00
Space group Cmcm (No. 63)
Unique sites:
Er1 0.000 0.156 0.250
Co1 0.000 0.000 0.000
Co2 0.000 0.200 0.572
Co3 0.000 0.447 0.143
P1 0.000 0.111 0.750
P2 0.000 0.383 0.542